Entry 1:
Theoretical powder diffraction line list of K2In2Au3 for CuKα, from a PBE-relaxed structure.
Kinematic intensities with the Lorentz-polarization factor, no thermal factor.

Cell and atoms:
Cell lengths 8.016, 7.858, 7.998 Å; angles 90.00, 112.85, 90.00 degrees
Positions (direct):
1 K 0.230 0.165 0.409
2 K 0.230 0.335 0.909
3 K 0.770 0.665 0.091
4 K 0.770 0.835 0.591
5 In 0.298 0.692 0.563
6 In 0.298 0.808 0.063
7 In 0.702 0.192 0.937
8 In 0.702 0.308 0.437
9 Au 0.000 0.000 0.000
10 Au 0.000 0.500 0.500
11 Au 0.436 0.565 0.316
12 Au 0.436 0.935 0.816
13 Au 0.564 0.065 0.184
14 Au 0.564 0.435 0.684

The 10 most intense peaks (2θ from 15° to 90°), low angle first:
2theta  I (rel.)
16.49  100
22.39  18
25.09  50
30.41  27
33.29  34
35.30  14
35.62  38
38.75  29
41.28  22
44.62  20

---

Entry 2:
Theoretical powder diffraction line list of Pm5SnTe5 for CuKα, from a PBE-relaxed structure.
Kinematic intensities with the Lorentz-polarization factor, no thermal factor.

Cell and atoms:
Cell lengths 7.741, 7.741, 8.915 Å; angles 106.69, 106.69, 48.21 degrees
Positions (direct):
1 Pm 0.000 0.000 0.000
2 Pm 0.337 0.337 0.169
3 Pm 0.337 0.337 0.669
4 Pm 0.663 0.663 0.331
5 Pm 0.663 0.663 0.831
6 Sn 0.500 0.500 0.000
7 Te 0.166 0.166 0.337
8 Te 0.166 0.166 0.830
9 Te 0.500 0.500 0.500
10 Te 0.834 0.834 0.170
11 Te 0.834 0.834 0.663

The 10 most intense peaks (2θ from 15° to 90°), low angle first:
2theta  I (rel.)
28.25  100
40.37  64
40.47  13
49.96  14
50.07  14
58.41  9
66.12  21
66.22  9
73.38  17
73.54  9

---

What is the formula in the second record? Pm5SnTe5

---

Copy entry 2 word for word.
Theoretical powder diffraction line list of Pm5SnTe5 for CuKα, from a PBE-relaxed structure.
Kinematic intensities with the Lorentz-polarization factor, no thermal factor.

Cell and atoms:
Cell lengths 7.741, 7.741, 8.915 Å; angles 106.69, 106.69, 48.21 degrees
Positions (direct):
1 Pm 0.000 0.000 0.000
2 Pm 0.337 0.337 0.169
3 Pm 0.337 0.337 0.669
4 Pm 0.663 0.663 0.331
5 Pm 0.663 0.663 0.831
6 Sn 0.500 0.500 0.000
7 Te 0.166 0.166 0.337
8 Te 0.166 0.166 0.830
9 Te 0.500 0.500 0.500
10 Te 0.834 0.834 0.170
11 Te 0.834 0.834 0.663

The 10 most intense peaks (2θ from 15° to 90°), low angle first:
2theta  I (rel.)
28.25  100
40.37  64
40.47  13
49.96  14
50.07  14
58.41  9
66.12  21
66.22  9
73.38  17
73.54  9